Record 1
Rb3Tl2Te3: theoretical PXRD pattern (Cu Kα, 1.54184 Å), based on the PBE geometry in Alexandria.

Structural model:
```
Rb3Tl2Te3
1.0
10.565 0.000 0.000
0.000 16.677 0.000
0.000 0.000 8.473
Rb Tl Te
12 8 12
Cartesian
0.797 1.701 1.195 Rb
0.797 6.637 1.195 Rb
2.124 4.169 4.631 Rb
3.159 12.508 0.395 Rb
4.485 10.040 5.431 Rb
4.485 14.975 5.431 Rb
6.080 1.701 3.042 Rb
6.080 6.637 3.042 Rb
7.406 4.169 8.078 Rb
8.442 12.508 3.842 Rb
9.768 10.040 7.278 Rb
9.768 14.975 7.278 Rb
1.168 9.738 3.751 Tl
1.168 15.277 3.751 Tl
4.114 1.400 7.987 Tl
4.114 6.939 7.987 Tl
6.451 9.738 0.485 Tl
6.451 15.277 0.485 Tl
9.397 1.400 4.722 Tl
9.397 6.939 4.722 Tl
1.379 12.508 5.393 Te
1.661 0.900 6.109 Te
1.661 7.438 6.109 Te
3.621 9.239 1.873 Te
3.621 15.777 1.873 Te
3.903 4.169 1.157 Te
6.662 12.508 7.316 Te
6.944 0.900 6.600 Te
6.944 7.438 6.600 Te
8.904 9.239 2.364 Te
8.904 15.777 2.364 Te
9.186 4.169 3.080 Te
```

The 6 most intense peaks (2θ from 10° to 80°), low angle first:
2θ/deg, Rel. int.
10.61, 50
13.40, 100
20.88, 66
27.79, 89
31.49, 98
32.20, 54

=====

Record 2
Li2DyEr2Si2: theoretical PXRD pattern (Cu Kα, 1.54184 Å), based on the PBE geometry in Alexandria.

Structural model:
```
Li2DyEr2Si2
1.0
2.208 1.275 8.715
-2.208 1.275 8.715
0.000 -2.549 8.715
Li Dy Er Si
2 1 2 2
Cartesian
0.000 0.000 2.613 Li
0.000 0.000 23.533 Li
0.000 0.000 13.073 Dy
0.000 0.000 9.750 Er
0.000 0.000 16.396 Er
0.000 0.000 6.204 Si
0.000 0.000 19.942 Si
```

The 6 most intense peaks (2θ from 10° to 80°), low angle first:
2θ/deg, Rel. int.
23.51, 100
33.54, 57
36.16, 67
40.88, 52
55.70, 19
71.36, 19

=====

Record 3
La2Ce2Ge4Pd: theoretical PXRD pattern (Cu Kα, 1.54184 Å), based on the PBE geometry in Alexandria.

Structural model:
```
La2Ce2Ge4Pd
1.0
-3.651 3.651 4.205
3.651 -3.651 4.205
3.651 3.651 -4.205
La Ce Ge Pd
2 2 4 1
Cartesian
3.651 0.000 2.103 La
0.000 3.651 2.103 La
0.000 0.000 1.372 Ce
0.000 0.000 7.039 Ce
1.887 1.887 0.000 Ge
1.764 -1.764 4.205 Ge
-1.764 1.764 4.205 Ge
1.764 1.764 4.205 Ge
0.000 0.000 4.205 Pd
```

The 6 most intense peaks (2θ from 10° to 80°), low angle first:
2θ/deg, Rel. int.
24.38, 35
32.48, 92
34.26, 37
34.75, 100
42.50, 34
49.96, 35

=====

Record 4
KSb4Pt5: theoretical PXRD pattern (Cu Kα, 1.54184 Å), based on the PBE geometry in Alexandria.

Structural model:
```
KSb4Pt5
1.0
7.868 0.000 0.000
0.000 12.601 0.000
0.000 0.000 4.571
K Sb Pt
2 8 10
Cartesian
1.967 3.150 0.047 K
5.901 9.451 4.525 K
0.412 9.451 2.167 Sb
1.967 6.567 1.074 Sb
1.967 12.334 1.074 Sb
3.522 9.451 2.167 Sb
4.346 3.150 2.405 Sb
5.901 0.267 3.498 Sb
5.901 6.033 3.498 Sb
7.456 3.150 2.405 Sb
0.481 7.095 3.401 Pt
0.481 11.807 3.401 Pt
1.967 9.451 4.480 Pt
3.454 7.095 3.401 Pt
3.454 11.807 3.401 Pt
4.415 0.794 1.170 Pt
4.415 5.506 1.170 Pt
5.901 3.150 0.092 Pt
7.388 0.794 1.170 Pt
7.388 5.506 1.170 Pt
```

The 6 most intense peaks (2θ from 10° to 80°), low angle first:
2θ/deg, Rel. int.
13.27, 100
28.87, 47
36.97, 55
39.62, 40
42.05, 65
42.24, 52

=====

Copy entry 4 word for word.
KSb4Pt5: theoretical PXRD pattern (Cu Kα, 1.54184 Å), based on the PBE geometry in Alexandria.

Structural model:
```
KSb4Pt5
1.0
7.868 0.000 0.000
0.000 12.601 0.000
0.000 0.000 4.571
K Sb Pt
2 8 10
Cartesian
1.967 3.150 0.047 K
5.901 9.451 4.525 K
0.412 9.451 2.167 Sb
1.967 6.567 1.074 Sb
1.967 12.334 1.074 Sb
3.522 9.451 2.167 Sb
4.346 3.150 2.405 Sb
5.901 0.267 3.498 Sb
5.901 6.033 3.498 Sb
7.456 3.150 2.405 Sb
0.481 7.095 3.401 Pt
0.481 11.807 3.401 Pt
1.967 9.451 4.480 Pt
3.454 7.095 3.401 Pt
3.454 11.807 3.401 Pt
4.415 0.794 1.170 Pt
4.415 5.506 1.170 Pt
5.901 3.150 0.092 Pt
7.388 0.794 1.170 Pt
7.388 5.506 1.170 Pt
```

The 6 most intense peaks (2θ from 10° to 80°), low angle first:
2θ/deg, Rel. int.
13.27, 100
28.87, 47
36.97, 55
39.62, 40
42.05, 65
42.24, 52

=====

Please write out number 1 again, unchanged.
Rb3Tl2Te3: theoretical PXRD pattern (Cu Kα, 1.54184 Å), based on the PBE geometry in Alexandria.

Structural model:
```
Rb3Tl2Te3
1.0
10.565 0.000 0.000
0.000 16.677 0.000
0.000 0.000 8.473
Rb Tl Te
12 8 12
Cartesian
0.797 1.701 1.195 Rb
0.797 6.637 1.195 Rb
2.124 4.169 4.631 Rb
3.159 12.508 0.395 Rb
4.485 10.040 5.431 Rb
4.485 14.975 5.431 Rb
6.080 1.701 3.042 Rb
6.080 6.637 3.042 Rb
7.406 4.169 8.078 Rb
8.442 12.508 3.842 Rb
9.768 10.040 7.278 Rb
9.768 14.975 7.278 Rb
1.168 9.738 3.751 Tl
1.168 15.277 3.751 Tl
4.114 1.400 7.987 Tl
4.114 6.939 7.987 Tl
6.451 9.738 0.485 Tl
6.451 15.277 0.485 Tl
9.397 1.400 4.722 Tl
9.397 6.939 4.722 Tl
1.379 12.508 5.393 Te
1.661 0.900 6.109 Te
1.661 7.438 6.109 Te
3.621 9.239 1.873 Te
3.621 15.777 1.873 Te
3.903 4.169 1.157 Te
6.662 12.508 7.316 Te
6.944 0.900 6.600 Te
6.944 7.438 6.600 Te
8.904 9.239 2.364 Te
8.904 15.777 2.364 Te
9.186 4.169 3.080 Te
```

The 6 most intense peaks (2θ from 10° to 80°), low angle first:
2θ/deg, Rel. int.
10.61, 50
13.40, 100
20.88, 66
27.79, 89
31.49, 98
32.20, 54